This entry pairs a crystal structure of Cs2GaTe2 with its simulated PXRD pattern. Radiation: Cu Kα, 1.54184 Å. Structure: DFT lattice parameters and positions (GGA-PBE).
No peak broadening, texture or thermal motion is included.

Principal peaks in the range 2θ = 10–90°, by angle:
6.417 Å, 2θ = 13.80°, I 45; 4.253 Å, 2θ = 20.89°, I 28; 4.063 Å, 2θ = 21.87°, I 39; 3.782 Å, 2θ = 23.52°, I 100; 3.167 Å, 2θ = 28.18°, I 17; 2.826 Å, 2θ = 31.66°, I 20; 2.778 Å, 2θ = 32.22°, I 31; 2.768 Å, 2θ = 32.34°, I 28; 2.719 Å, 2θ = 32.95°, I 18; 2.675 Å, 2θ = 33.51°, I 20

Crystal structure
a = 9.316 Å, b = 9.316 Å, c = 12.140 Å
α = 127.65°, β = 127.65°, γ = 47.90°
Positions (direct):
Cs1 0.103 0.103 0.327
Cs2 0.335 0.335 0.973
Cs3 0.665 0.665 0.027
Cs4 0.897 0.897 0.673
Ga1 0.377 0.377 0.338
Ga2 0.623 0.623 0.662
Te1 0.172 0.172 0.090
Te2 0.424 0.424 0.603
Te3 0.576 0.576 0.397
Te4 0.828 0.828 0.910